Calculated XRD peak list
Compound: CsMn2AgF8
Radiation: Cu Kα
Structure: a structure optimized by DFT (PBE+U)

Atomic structure:
Unit cell a=5.9072 b=5.9072 c=8.3808 alpha=90.00 beta=90.00 gamma=120.00
Space group P-3 (No. 147)
Asymmetric unit:
Cs  0.0000  0.0000  0.0000 x1
Mn  0.3333  0.6667  0.7369 x2
Ag  0.0000  0.0000  0.5000 x1
F  0.0747  0.3196  0.6650 x6
F  0.3333  0.6667  0.9626 x2

Largest 10 diffraction maxima, by angle, 2θ from 5° to 70°:
Position (°2θ), intensity, (hkl)
17.3, 71, 1 0 0
20.3, 47, 0 1 1
27.5, 100, 0 1 2
30.3, 64, 1 1 0
32.1, 14, 0 0 3
37.2, 24, 2 -1 2
41.4, 41, 0 2 2
52.1, 36, 3 -2 2
53.6, 32, 1 1 4
53.8, 18, 3 0 0